# Ac12Nd7Tm
Computed powder diffraction line list, Cu Kα X-rays. Input: DFT lattice parameters and positions (GGA-PBE).
Kinematic intensities with the Lorentz-polarization factor, no thermal factor.

Crystal structure
```
data_Ac12Nd7Tm
_chemical_formula_sum 'Ac12 Nd7 Tm1'
_cell_length_a 12.2429
_cell_length_b 12.2429
_cell_length_c 12.2429
_cell_angle_alpha 116.75
_cell_angle_beta 116.75
_cell_angle_gamma 116.75
_space_group_name_H-M_alt 'P 1'
_space_group_IT_number 1
loop_
_space_group_symop_operation_xyz
'x,y,z'
loop_
_atom_site_label
_atom_site_fract_x
_atom_site_fract_y
_atom_site_fract_z
_atom_site_occupancy
Ac1 0.0000 0.4123 0.5877 1
Ac2 0.0000 0.5877 0.4123 1
Ac3 0.0690 0.0690 0.4151 1
Ac4 0.0690 0.4151 0.0690 1
Ac5 0.4123 0.0000 0.5877 1
Ac6 0.4123 0.5877 0.0000 1
Ac7 0.4151 0.0690 0.0690 1
Ac8 0.5849 0.9310 0.9310 1
Ac9 0.5877 0.0000 0.4123 1
Ac10 0.5877 0.4123 0.0000 1
Ac11 0.9310 0.5849 0.9310 1
Ac12 0.9310 0.9310 0.5849 1
Nd1 0.0000 0.0000 0.0000 1
Nd2 0.1489 0.3916 0.3916 1
Nd3 0.3916 0.1489 0.3916 1
Nd4 0.3916 0.3916 0.1489 1
Nd5 0.6084 0.6084 0.8511 1
Nd6 0.6084 0.8511 0.6084 1
Nd7 0.8511 0.6084 0.6084 1
Tm1 0.5000 0.5000 0.5000 1
```

Most intense lines, 2θ = 5–70°, in order of rising 2θ:
- 22.16°, rel. 26
- 25.28°, rel. 34
- 25.64°, rel. 45
- 28.07°, rel. 100
- 28.42°, rel. 64
- 30.63°, rel. 60
- 30.93°, rel. 49
- 36.59°, rel. 36
- 43.40°, rel. 26
- 44.32°, rel. 40



# Na2RhF7
Computed powder diffraction line list, Cu Kα X-rays. Input: DFT lattice parameters and positions (GGA-PBE).
Kinematic intensities with the Lorentz-polarization factor, no thermal factor.

Crystal structure
```
data_Na2RhF7
_chemical_formula_sum 'Na4 Rh2 F14'
_cell_length_a 7.1386
_cell_length_b 7.1386
_cell_length_c 8.9896
_cell_angle_alpha 125.73
_cell_angle_beta 125.73
_cell_angle_gamma 51.28
_space_group_name_H-M_alt 'P 1'
_space_group_IT_number 1
loop_
_space_group_symop_operation_xyz
'x,y,z'
loop_
_atom_site_label
_atom_site_fract_x
_atom_site_fract_y
_atom_site_fract_z
_atom_site_occupancy
Na1 0.1197 0.2695 0.2854 1
Na2 0.2695 0.1197 0.7854 1
Na3 0.7305 0.8803 0.2146 1
Na4 0.8803 0.7305 0.7146 1
Rh1 0.3699 0.6301 0.2500 1
Rh2 0.6301 0.3699 0.7500 1
F1 0.0543 0.9457 0.2500 1
F2 0.1415 0.5358 0.2213 1
F3 0.2398 0.5753 0.9719 1
F4 0.2522 0.5091 0.6247 1
F5 0.4247 0.7602 0.5281 1
F6 0.4642 0.8585 0.2787 1
F7 0.4909 0.7478 0.8753 1
F8 0.5091 0.2522 0.1247 1
F9 0.5358 0.1415 0.7213 1
F10 0.5753 0.2398 0.4719 1
F11 0.7478 0.4909 0.3753 1
F12 0.7602 0.4247 0.0281 1
F13 0.8585 0.4642 0.7787 1
F14 0.9457 0.0543 0.7500 1
```

Most intense lines, 2θ = 5–70°, in order of rising 2θ:
- 16.96°, rel. 100
- 17.43°, rel. 93
- 18.09°, rel. 50
- 19.80°, rel. 66
- 25.70°, rel. 59
- 26.02°, rel. 74
- 26.64°, rel. 51
- 31.78°, rel. 45
- 43.23°, rel. 42
- 44.98°, rel. 30



# HoTmCu10
Computed powder diffraction line list, Cu Kα X-rays. Input: DFT lattice parameters and positions (GGA-PBE).
Kinematic intensities with the Lorentz-polarization factor, no thermal factor.

Crystal structure
```
data_HoTmCu10
_chemical_formula_sum 'Ho1 Tm1 Cu10'
_cell_length_a 4.0945
_cell_length_b 5.0301
_cell_length_c 8.6261
_cell_angle_alpha 90.00
_cell_angle_beta 90.00
_cell_angle_gamma 90.00
_space_group_name_H-M_alt 'P 1'
_space_group_IT_number 1
loop_
_space_group_symop_operation_xyz
'x,y,z'
loop_
_atom_site_label
_atom_site_fract_x
_atom_site_fract_y
_atom_site_fract_z
_atom_site_occupancy
Ho1 0.0000 0.0000 0.0000 1
Tm1 0.0000 0.5000 0.5000 1
Cu1 0.0000 0.0000 0.3342 1
Cu2 0.0000 0.0000 0.6658 1
Cu3 0.0000 0.5000 0.1676 1
Cu4 0.0000 0.5000 0.8324 1
Cu5 0.5000 0.0000 0.5000 1
Cu6 0.5000 0.2504 0.2507 1
Cu7 0.5000 0.2504 0.7493 1
Cu8 0.5000 0.5000 0.0000 1
Cu9 0.5000 0.7496 0.2507 1
Cu10 0.5000 0.7496 0.7493 1
```

Most intense lines, 2θ = 5–70°, in order of rising 2θ:
- 29.99°, rel. 50
- 30.09°, rel. 25
- 35.98°, rel. 31
- 41.57°, rel. 35
- 41.89°, rel. 17
- 42.17°, rel. 51
- 42.41°, rel. 100
- 44.24°, rel. 41
- 62.32°, rel. 20
- 68.75°, rel. 23



# HfTi3Bi
Computed powder diffraction line list, Cu Kα X-rays. Input: DFT lattice parameters and positions (GGA-PBE).
Kinematic intensities with the Lorentz-polarization factor, no thermal factor.

Crystal structure
```
data_HfTi3Bi
_chemical_formula_sum 'Hf2 Ti6 Bi2'
_cell_length_a 8.0803
_cell_length_b 8.0803
_cell_length_c 7.1414
_cell_angle_alpha 99.64
_cell_angle_beta 99.64
_cell_angle_gamma 26.15
_space_group_name_H-M_alt 'P 1'
_space_group_IT_number 1
loop_
_space_group_symop_operation_xyz
'x,y,z'
loop_
_atom_site_label
_atom_site_fract_x
_atom_site_fract_y
_atom_site_fract_z
_atom_site_occupancy
Hf1 0.0990 0.0990 0.0425 1
Hf2 0.9010 0.9010 0.9575 1
Ti1 0.0882 0.0882 0.5130 1
Ti2 0.3081 0.3081 0.6368 1
Ti3 0.4897 0.4897 0.7493 1
Ti4 0.5103 0.5103 0.2507 1
Ti5 0.6919 0.6919 0.3632 1
Ti6 0.9118 0.9118 0.4870 1
Bi1 0.3086 0.3086 0.2151 1
Bi2 0.6914 0.6914 0.7849 1
```

Most intense lines, 2θ = 5–70°, in order of rising 2θ:
- 12.58°, rel. 38
- 27.65°, rel. 53
- 28.13°, rel. 33
- 35.16°, rel. 86
- 37.36°, rel. 28
- 38.06°, rel. 100
- 39.56°, rel. 35
- 49.89°, rel. 20
- 51.94°, rel. 18
- 65.47°, rel. 16



# Ca2Ac5Ru2
Computed powder diffraction line list, Cu Kα X-rays. Input: DFT lattice parameters and positions (GGA-PBE).
Kinematic intensities with the Lorentz-polarization factor, no thermal factor.

Crystal structure
```
data_Ca2Ac5Ru2
_chemical_formula_sum 'Ca4 Ac10 Ru4'
_cell_length_a 10.9798
_cell_length_b 10.9798
_cell_length_c 8.2076
_cell_angle_alpha 90.00
_cell_angle_beta 90.00
_cell_angle_gamma 43.54
_space_group_name_H-M_alt 'P 1'
_space_group_IT_number 1
loop_
_space_group_symop_operation_xyz
'x,y,z'
loop_
_atom_site_label
_atom_site_fract_x
_atom_site_fract_y
_atom_site_fract_z
_atom_site_occupancy
Ca1 0.2298 0.2298 0.0000 1
Ca2 0.2702 0.2702 0.5000 1
Ca3 0.7298 0.7298 0.5000 1
Ca4 0.7702 0.7702 0.0000 1
Ac1 0.0000 0.0000 0.0000 1
Ac2 0.0663 0.7394 0.6644 1
Ac3 0.2394 0.5663 0.1644 1
Ac4 0.2606 0.9337 0.6644 1
Ac5 0.4337 0.7606 0.1644 1
Ac6 0.5000 0.5000 0.5000 1
Ac7 0.5663 0.2394 0.8356 1
Ac8 0.7394 0.0663 0.3356 1
Ac9 0.7606 0.4337 0.8356 1
Ac10 0.9337 0.2606 0.3356 1
Ru1 0.1428 0.8572 0.3580 1
Ru2 0.3572 0.6428 0.8580 1
Ru3 0.6428 0.3572 0.1420 1
Ru4 0.8572 0.1428 0.6420 1
```

Most intense lines, 2θ = 5–70°, in order of rising 2θ:
- 8.67°, rel. 100
- 24.40°, rel. 13
- 24.68°, rel. 14
- 26.75°, rel. 14
- 30.12°, rel. 26
- 32.85°, rel. 31
- 34.87°, rel. 21
- 35.09°, rel. 20
- 36.12°, rel. 20
- 52.52°, rel. 12



# TbTm2MgBi4
Computed powder diffraction line list, Cu Kα X-rays. Input: DFT lattice parameters and positions (GGA-PBE).
Kinematic intensities with the Lorentz-polarization factor, no thermal factor.

Crystal structure
```
data_TbTm2MgBi4
_chemical_formula_sum 'Tb1 Tm2 Mg1 Bi4'
_cell_length_a 7.7092
_cell_length_b 4.4123
_cell_length_c 7.7551
_cell_angle_alpha 90.00
_cell_angle_beta 109.69
_cell_angle_gamma 90.00
_space_group_name_H-M_alt 'P 1'
_space_group_IT_number 1
loop_
_space_group_symop_operation_xyz
'x,y,z'
loop_
_atom_site_label
_atom_site_fract_x
_atom_site_fract_y
_atom_site_fract_z
_atom_site_occupancy
Tb1 0.0000 0.0000 0.0000 1
Tm1 0.0000 0.5000 0.5000 1
Tm2 0.5000 0.0000 0.5000 1
Mg1 0.5000 0.5000 0.0000 1
Bi1 0.2535 0.5000 0.2525 1
Bi2 0.2564 0.0000 0.7529 1
Bi3 0.7436 0.0000 0.2471 1
Bi4 0.7465 0.5000 0.7475 1
```

Most intense lines, 2θ = 5–70°, in order of rising 2θ:
- 24.58°, rel. 11
- 28.23°, rel. 51
- 28.48°, rel. 100
- 40.47°, rel. 59
- 40.63°, rel. 39
- 40.91°, rel. 19
- 49.96°, rel. 11
- 50.45°, rel. 21
- 58.94°, rel. 13
- 66.48°, rel. 19